Structure and calculated XRD peak list of LiTmGe (a crystal structure in the Materials Project, relaxed with GGA-PBE; Cu Kα (weighted mean of Kα1 and Kα2)).
Kinematic intensities with the Lorentz-polarization factor, no thermal factor.

Atomic structure:
```
LiTmGe
1.0
6.9877 0.0000 0.0000
-3.4939 6.0515 0.0000
0.0000 0.0000 4.2195
Li Tm Ge
3 3 3
Direct
0.0000 0.2371 0.0000 Li
0.2371 0.0000 0.0000 Li
0.7629 0.7629 0.0000 Li
0.0000 0.5793 0.5000 Tm
0.4207 0.4207 0.5000 Tm
0.5793 0.0000 0.5000 Tm
0.0000 0.0000 0.5000 Ge
0.3333 0.6667 0.0000 Ge
0.6667 0.3333 0.0000 Ge
```

Peak list (6 most intense, 2θ from 10° to 90°, by angle)
| index | d/Å | 2theta | I/Imax |
| --- | --- | --- | --- |
| 0 0 1 | 4.219 | 21.1 | 44 |
| 1 1 0 | 3.494 | 25.5 | 42 |
| 2 0 0 | 3.026 | 29.5 | 41 |
| 1 1 1 | 2.691 | 33.3 | 86 |
| 2 0 1 | 2.459 | 36.5 | 100 |
| 3 1 1 | 1.560 | 59.3 | 33 |